NdTlAu2: computed XRD peak list (λ = 1.5418 Å (Cu Kα)), based on a crystal structure in the Materials Project, relaxed with PBE.
Lines closer than 0.1° are merged.

Main lines, by angle (10° ≤ 2θ ≤ 90°):
2θ (°), Rel. int.
21.3, 1
24.6, 1
35.1, 100
41.4, 1
50.5, 18
63.0, 37
74.2, 12
84.8, 17

Structural model:
```
NdTlAu2
1.0
0.0000 3.6138 3.6138
3.6138 0.0000 3.6138
3.6138 3.6138 0.0000
Nd Tl Au
1 1 2
Direct
0.0000 0.0000 0.0000
0.5000 0.5000 0.5000
0.2500 0.2500 0.2500
0.7500 0.7500 0.7500
```